[1]
Ac3HPb: simulated powder diffractogram (copper Kα), based on a structure optimized by DFT (GGA-PBE).
Intensities are scaled so that the largest is 100.

Top 6 peaks for 10 to 90 degrees two-theta, most intense first:
index  Position (°2θ)  I_rel
1 2 1  28.72  100
0 1 4  30.65  78
2 0 2  30.22  42
1 1 -3  26.58  39
0 0 4  28.04  33
0 4 0  49.91  20

Cell and atoms:
```
data_Ac3HPb
_chemical_formula_sum 'Ac12 H4 Pb4'
_cell_length_a 7.0069
_cell_length_b 7.3082
_cell_length_c 12.7904
_cell_angle_alpha 90.00
_cell_angle_beta 94.87
_cell_angle_gamma 90.00
_space_group_name_H-M_alt 'P 1 21/c 1'
_space_group_IT_number 14
loop_
_space_group_symop_operation_xyz
'x,y,z'
'-x,-y,-z'
'-x,y+1/2,-z+1/2'
'x,-y+1/2,z+1/2'
loop_
_atom_site_label
_atom_site_type_symbol
_atom_site_fract_x
_atom_site_fract_y
_atom_site_fract_z
_atom_site_occupancy
Ac1 Ac 0.1205 0.1255 0.1771 1
Ac2 Ac 0.2075 0.6274 0.0896 1
Ac3 Ac 0.3288 0.1448 0.9132 1
H1 H 0.1059 0.1756 0.5181 1
Pb1 Pb 0.4018 0.6753 0.8405 1
```


[2]
Hf4Cu: simulated powder diffractogram (copper Kα), based on a structure optimized by DFT (GGA-PBE).
Intensities are scaled so that the largest is 100.

Top 6 peaks for 10 to 90 degrees two-theta, most intense first:
index  Position (°2θ)  I_rel
1 1 1  31.84  100
2 0 0  36.93  75
2 2 0  53.22  53
3 1 1  63.37  43
3 3 1  87.31  19
2 2 2  66.54  18

Cell and atoms:
```
data_Hf4Cu
_chemical_formula_sum 'Hf4 Cu1'
_cell_length_a 4.8679
_cell_length_b 4.8679
_cell_length_c 4.8679
_cell_angle_alpha 90.00
_cell_angle_beta 90.00
_cell_angle_gamma 90.00
_space_group_name_H-M_alt 'P m -3 m'
_space_group_IT_number 221
_space_group_name_Hall '-P 4 2 3'
loop_
_atom_site_label
_atom_site_type_symbol
_atom_site_fract_x
_atom_site_fract_y
_atom_site_fract_z
_atom_site_occupancy
Hf1 Hf 0.0000 0.0000 0.0000 1
Hf2 Hf 0.0000 0.5000 0.5000 1
Cu1 Cu 0.5000 0.5000 0.5000 1
```


[3]
Li4HgSb2: simulated powder diffractogram (copper Kα), based on a structure optimized by DFT (GGA-PBE).
Intensities are scaled so that the largest is 100.

Top 6 peaks for 10 to 90 degrees two-theta, most intense first:
index  Position (°2θ)  I_rel
1 0 1  21.34  100
0 1 2  22.10  44
1 1 0  36.94  35
1 0 10  39.68  28
1 1 9  48.17  26
0 0 9  29.82  16

Cell and atoms:
```
data_Li4HgSb2
_chemical_formula_sum 'Li12 Hg3 Sb6'
_cell_length_a 4.8670
_cell_length_b 4.8670
_cell_length_c 26.9679
_cell_angle_alpha 90.00
_cell_angle_beta 90.00
_cell_angle_gamma 120.00
_space_group_name_H-M_alt 'R -3 m'
_space_group_IT_number 166
_space_group_name_Hall '-R 3 2"'
loop_
_atom_site_label
_atom_site_type_symbol
_atom_site_fract_x
_atom_site_fract_y
_atom_site_fract_z
_atom_site_occupancy
Li1 Li 0.0000 0.0000 0.0778 1
Li2 Li 0.0000 0.0000 0.2904 1
Hg1 Hg 0.0000 0.0000 0.5000 1
Sb1 Sb 0.0000 0.0000 0.3995 1
```